Entry 1:
Computed X-ray diffraction stick pattern
Compound: Na2PaAl2O7
Radiation: λ = 1.5418 Å (Cu Kα)
Structure: DFT lattice parameters and positions (GGA-PBE)
Neutral-atom scattering factors, no anomalous dispersion.

Cell lengths 5.5800, 5.5800, 21.9553 Å; angles 90.00, 90.00, 120.00 degrees
Space group R32 (No. 155, hexagonal axes)
Symmetry-distinct sites (fractional):
Na (0.0000, 0.0000, 0.2388) x6
Pa (0.0000, 0.0000, 0.0000) x3
Al (0.0000, 0.0000, 0.4210) x6
O (0.0000, 0.0000, 0.5000) x3
O (0.0070, 0.4032, 0.2723) x18

Most intense lines, 10° ≤ 2θ ≤ 90°, by angle:
- hkl 0 0 3, 2θ 12.1, intensity 947
- hkl 1 0 1, 2θ 18.8, intensity 482
- hkl 0 1 2, 2θ 20.1, intensity 1000
- hkl 1 0 4, 2θ 24.5, intensity 631
- hkl 0 1 5, 2θ 27.4, intensity 631
- hkl 1 1 0, 2θ 32.1, intensity 505
- hkl 1 1 3, 2θ 34.4, intensity 277
- hkl 1 1 9, 2θ 49.6, intensity 273


Entry 2:
Computed X-ray diffraction stick pattern
Compound: NaPuAl2O6
Radiation: λ = 1.5418 Å (Cu Kα)
Structure: DFT lattice parameters and positions (GGA-PBE)
Neutral-atom scattering factors, no anomalous dispersion.

Cell lengths 10.9063, 9.7121, 5.8255 Å; angles 90.00, 111.06, 90.00 degrees
Space group C2/c (No. 15)
Symmetry-distinct sites (fractional):
Na (0.0000, 0.0891, 0.2500) x4
Pu (0.0000, 0.2728, 0.7500) x4
Al (0.2087, 0.4227, 0.1670) x8
O (0.1006, 0.2741, 0.1131) x8
O (0.1241, 0.1153, 0.6898) x8
O (0.1581, 0.4576, 0.8433) x8

Most intense lines, 10° ≤ 2θ ≤ 90°, by angle:
- hkl 2 0 0, 2θ 17.4, intensity 386
- hkl 1 1 -1, 2θ 18.0, intensity 1000
- hkl 0 2 0, 2θ 18.3, intensity 265
- hkl 1 1 1, 2θ 23.0, intensity 335
- hkl 2 2 0, 2θ 25.4, intensity 536
- hkl 3 1 -1, 2θ 27.1, intensity 342
- hkl 0 0 2, 2θ 33.0, intensity 203
- hkl 3 3 -1, 2θ 37.9, intensity 324


Entry 3:
Computed X-ray diffraction stick pattern
Compound: Na2AlSbO4
Radiation: λ = 1.5418 Å (Cu Kα)
Structure: DFT lattice parameters and positions (GGA-PBE)
Neutral-atom scattering factors, no anomalous dispersion.

Cell lengths 5.0859, 5.0937, 5.3917 Å; angles 63.86, 63.66, 84.20 degrees
Space group P1 (No. 1)
Symmetry-distinct sites (fractional):
Na (0.0000, 0.0000, 0.0000) x1
Na (0.2447, 0.7449, 0.5047) x1
Al (0.7990, 0.1942, 0.5008) x1
Sb (0.4788, 0.5154, 0.0021) x1
O (0.1598, 0.2272, 0.4713) x1
O (0.5393, 0.1972, 0.8627) x1
O (0.7638, 0.8338, 0.5315) x1
O (0.8022, 0.4504, 0.1353) x1

Most intense lines, 10° ≤ 2θ ≤ 90°, by angle:
- hkl 0 1 0, 2θ 19.6, intensity 605
- hkl 0 0 1, 2θ 20.5, intensity 232
- hkl 0 1 1, 2θ 21.1, intensity 1000
- hkl 1 -1 0, 2θ 26.1, intensity 248
- hkl 1 1 0, 2θ 29.5, intensity 412
- hkl 1 0 -1, 2θ 34.4, intensity 300
- hkl 2 0 1, 2θ 35.6, intensity 901
- hkl 0 0 2, 2θ 41.7, intensity 274


Entry 4:
Computed X-ray diffraction stick pattern
Compound: NaAlSeO6
Radiation: λ = 1.5418 Å (Cu Kα)
Structure: DFT lattice parameters and positions (GGA-PBE)
Neutral-atom scattering factors, no anomalous dispersion.

Cell lengths 4.9368, 4.9368, 10.4274 Å; angles 90.00, 90.00, 120.00 degrees
Space group P-31c (No. 163)
Symmetry-distinct sites (fractional):
Na (0.0000, 0.0000, 0.0000) x2
Al (0.3333, 0.6667, 0.2500) x2
Se (0.3333, 0.6667, 0.7500) x2
O (0.0176, 0.3733, 0.6537) x12

Most intense lines, 10° ≤ 2θ ≤ 90°, by angle:
- hkl 0 0 2, 2θ 17.0, intensity 1000
- hkl 1 0 0, 2θ 20.8, intensity 209
- hkl 1 0 1, 2θ 22.5, intensity 522
- hkl 1 0 2, 2θ 27.0, intensity 881
- hkl 1 1 0, 2θ 36.4, intensity 204
- hkl 1 1 2, 2θ 40.4, intensity 444
- hkl 1 1 4, 2θ 50.9, intensity 619
- hkl 3 0 0, 2θ 65.5, intensity 194


Entry 5:
Computed X-ray diffraction stick pattern
Compound: Na8Al6Si6O25
Radiation: λ = 1.5418 Å (Cu Kα)
Structure: DFT lattice parameters and positions (GGA-PBE)
Neutral-atom scattering factors, no anomalous dispersion.

Cell lengths 12.6869, 12.6869, 15.3950 Å; angles 90.00, 90.00, 120.00 degrees
Space group R3 (No. 146, hexagonal axes)
Symmetry-distinct sites (fractional):
Na (0.0000, 0.0000, 0.0000) x3
Na (0.0000, 0.0000, 0.3086) x3
Na (0.2029, 0.4078, 0.2792) x9
Na (0.2095, 0.1047, 0.1319) x9
Al (0.0009, 0.2474, 0.9293) x9
Al (0.0012, 0.7517, 0.4294) x9
Si (0.0001, 0.2496, 0.4283) x9
Si (0.0853, 0.6677, 0.5982) x9
O (0.0000, 0.0000, 0.1538) x3
O (0.0030, 0.2942, 0.0375) x9
O (0.0059, 0.2898, 0.5305) x9
O (0.0107, 0.7165, 0.5388) x9
O (0.0456, 0.6683, 0.6996) x9
O (0.0487, 0.5310, 0.5645) x9
O (0.0556, 0.5224, 0.0587) x9
O (0.1893, 0.0999, 0.9269) x9
O (0.1950, 0.0926, 0.4223) x9

Most intense lines, 10° ≤ 2θ ≤ 90°, by angle:
- hkl 0 1 2, 2θ 14.0, intensity 1000
- hkl 3 0 0, 2θ 24.3, intensity 735
- hkl 1 0 4, 2θ 24.5, intensity 174
- hkl 4 -1 2, 2θ 31.6, intensity 134
- hkl 3 -1 4, 2θ 31.7, intensity 179
- hkl 0 4 2, 2θ 34.7, intensity 303
- hkl 3 3 0, 2θ 42.8, intensity 105
- hkl 0 3 6, 2θ 43.0, intensity 101